Theoretical XRD peak list of Np2IO11 for copper Kα, from DFT lattice parameters and positions (PBE).

Principal peaks in the range 10° ≤ 2θ ≤ 90°, low angle first:
- 13.1 deg, rel. 266
- 16.9 deg, rel. 994
- 20.3 deg, rel. 236
- 22.0 deg, rel. 735
- 22.9 deg, rel. 300
- 23.9 deg, rel. 1000
- 25.9 deg, rel. 495
- 32.7 deg, rel. 645
- 44.5 deg, rel. 228
- 50.3 deg, rel. 171

Unit cell a=13.7596 b=8.8591 c=10.5891 alpha=90.00 beta=130.20 gamma=90.00
Space group Cc (No. 9)
Inequivalent atoms, fractional coordinates:
Np (0.0000, 0.1221, 0.0000) (multiplicity 4)
Np (0.0226, 0.3236, 0.5258) (multiplicity 4)
I (0.2759, 0.1176, 0.5314) (multiplicity 4)
O (0.0648, 0.3900, 0.0223) (multiplicity 4)
O (0.0757, 0.1099, 0.2180) (multiplicity 4)
O (0.1228, 0.2564, 0.7402) (multiplicity 4)
O (0.1343, 0.4511, 0.1704) (multiplicity 4)
O (0.1566, 0.0519, 0.0503) (multiplicity 4)
O (0.1756, 0.2685, 0.5254) (multiplicity 4)
O (0.3442, 0.2549, 0.4723) (multiplicity 4)
O (0.3973, 0.0816, 0.0211) (multiplicity 4)
O (0.4087, 0.1195, 0.7583) (multiplicity 4)
O (0.4119, 0.3509, 0.2831) (multiplicity 4)
O (0.4428, 0.3832, 0.9522) (multiplicity 4)

Theoretical XRD peak list of RbNpI2O8 for copper Kα, from DFT lattice parameters and positions (PBE).

Principal peaks in the range 10° ≤ 2θ ≤ 90°, low angle first:
- 11.4 deg, rel. 635
- 15.8 deg, rel. 452
- 19.5 deg, rel. 971
- 27.6 deg, rel. 1000
- 27.9 deg, rel. 995
- 29.9 deg, rel. 224
- 39.6 deg, rel. 399
- 44.3 deg, rel. 227
- 48.9 deg, rel. 466
- 49.5 deg, rel. 225

Unit cell a=6.4737 b=6.4737 c=7.7921 alpha=90.00 beta=90.00 gamma=120.00
Space group P-3m1 (No. 164)
Inequivalent atoms, fractional coordinates:
Rb (0.0000, 0.0000, 0.0000) (multiplicity 1)
Np (0.0000, 0.0000, 0.5000) (multiplicity 1)
I (0.3333, 0.6667, 0.3258) (multiplicity 2)
O (0.1534, 0.3067, 0.3380) (multiplicity 6)
O (0.3333, 0.6667, 0.0970) (multiplicity 2)